SrPm3Hg2: calculated powder diffractogram (copper Kα), based on DFT lattice parameters and positions (GGA-PBE).
Neutral-atom scattering factors, no anomalous dispersion.

Cell: 17.082 5.490 9.297 Å, 90.00 117.16 90.00°
Space group C2/m (No. 12)
One atom of each set of equivalent atoms:
Sr 0.132 0.000 0.196 (multiplicity 4)
Pm 0.067 0.000 0.715 (multiplicity 4)
Pm 0.118 0.500 0.521 (multiplicity 4)
Pm 0.195 0.500 0.997 (multiplicity 4)
Hg 0.004 0.500 0.160 (multiplicity 4)
Hg 0.227 0.000 0.615 (multiplicity 4)

Largest 8 diffraction maxima, in order of rising 2θ, 2θ from 10° to 80°:
- 18.80°, I = 19, hkl 1 1 -1
- 28.93°, I = 40, hkl 2 0 2
- 29.70°, I = 38, hkl 1 1 2
- 30.94°, I = 100, hkl 5 1 -1
- 31.92°, I = 19, hkl 5 1 -2
- 32.62°, I = 59, hkl 0 2 0
- 33.32°, I = 40, hkl 3 1 -3
- 44.16°, I = 26, hkl 2 2 2

Tb4NdHo2Th: calculated powder diffractogram (copper Kα), based on DFT lattice parameters and positions (GGA-PBE).
Neutral-atom scattering factors, no anomalous dispersion.

Cell: 5.055 5.055 10.079 Å, 90.00 90.00 90.00°
Space group P4/mmm (No. 123)
One atom of each set of equivalent atoms:
Tb 0.000 0.500 0.246 (multiplicity 4)
Nd 0.000 0.000 0.500 (multiplicity 1)
Ho 0.000 0.000 0.000 (multiplicity 1)
Ho 0.500 0.500 0.500 (multiplicity 1)
Th 0.500 0.500 0.000 (multiplicity 1)

Largest 8 diffraction maxima, in order of rising 2θ, 2θ from 10° to 80°:
- 30.66°, I = 100, hkl 1 1 2
- 35.51°, I = 34, hkl 2 0 0
- 35.63°, I = 17, hkl 0 0 4
- 51.16°, I = 36, hkl 2 2 0
- 60.78°, I = 29, hkl 3 1 2
- 60.94°, I = 14, hkl 1 1 6
- 63.85°, I = 12, hkl 2 2 4
- 75.17°, I = 4, hkl 4 0 0

Cd3In7Ga: calculated powder diffractogram (copper Kα), based on DFT lattice parameters and positions (GGA-PBE).
Neutral-atom scattering factors, no anomalous dispersion.

Cell: 6.036 6.099 7.864 Å, 80.92 86.72 88.80°
Space group P-1 (No. 2)
One atom of each set of equivalent atoms:
Cd 0.000 0.000 0.000 (multiplicity 1)
Cd 0.249 0.319 0.203 (multiplicity 2)
In 0.014 0.235 0.598 (multiplicity 2)
In 0.240 0.637 0.813 (multiplicity 2)
In 0.465 0.805 0.151 (multiplicity 2)
In 0.500 0.000 0.500 (multiplicity 1)
Ga 0.500 0.500 0.500 (multiplicity 1)

Largest 8 diffraction maxima, in order of rising 2θ, 2θ from 10° to 80°:
- 29.29°, I = 51, hkl 0 1 -2
- 32.44°, I = 43, hkl 1 -1 2
- 33.42°, I = 84, hkl 1 1 -2
- 33.73°, I = 73, hkl 2 1 1
- 34.73°, I = 99, hkl 0 2 2
- 35.18°, I = 65, hkl -2 1 1
- 35.61°, I = 63, hkl 0 1 3
- 36.74°, I = 100, hkl 1 -2 1